[1]
Calculated XRD peak list of MgSi2 for Cu Kα (weighted mean of Kα1 and Kα2), from a PBE-relaxed structure.
Intensities are scaled so that the largest is 100.

Cell and atoms:
Unit cell a=6.948 b=3.711 c=9.288 alpha=90.00 beta=110.31 gamma=90.00
Space group Pm (No. 6)
Inequivalent atoms, fractional coordinates:
Mg (0.000, 0.000, 0.000) x1
Mg (0.118, 0.500, 0.438) x1
Mg (0.591, 0.500, 0.002) x1
Mg (0.819, 0.000, 0.533) x1
Si (0.076, 0.500, 0.728) x1
Si (0.287, 0.500, 0.200) x1
Si (0.298, 0.000, 0.827) x1
Si (0.394, 0.000, 0.379) x1
Si (0.508, 0.000, 0.661) x1
Si (0.655, 0.500, 0.300) x1
Si (0.742, 0.500, 0.766) x1
Si (0.834, 0.000, 0.233) x1

The 12 most intense peaks (2θ from 15° to 90°), in order of rising 2θ:
2θ (°), I_rel, (hkl)
20.39, 26.8, 0 0 2
31.18, 100.0, 1 1 1
33.46, 50.0, 2 0 -3
36.70, 65.2, 2 1 0
37.44, 34.4, 1 1 2
37.99, 54.6, 1 1 -3
46.12, 51.1, 1 1 -4
46.41, 38.0, 3 1 -1
46.66, 28.1, 3 1 -2
48.46, 22.6, 1 0 4
49.09, 46.4, 0 2 0
60.73, 19.0, 2 2 -3



[2]
Calculated XRD peak list of GaGeS4 for Cu Kα (weighted mean of Kα1 and Kα2), from a PBE-relaxed structure.
Intensities are scaled so that the largest is 100.

Cell and atoms:
Unit cell a=11.275 b=11.403 c=19.405 alpha=90.00 beta=90.00 gamma=90.00
Space group I2_12_12_1 (No. 24)
Inequivalent atoms, fractional coordinates:
Ga (0.092, 0.124, 0.190) x8
Ge (0.127, 0.343, 0.061) x8
S (0.000, 0.250, 0.265) x4
S (0.000, 0.250, 0.988) x4
S (0.038, 0.482, 0.123) x8
S (0.211, 0.000, 0.250) x4
S (0.233, 0.218, 0.124) x8
S (0.250, 0.457, 0.000) x4

The 12 most intense peaks (2θ from 15° to 90°), in order of rising 2θ:
2θ (°), I_rel, (hkl)
22.23, 33.2, 1 2 3
22.32, 35.4, 2 1 3
28.89, 100.0, 2 2 4
28.97, 19.7, 2 1 5
31.58, 24.4, 2 3 3
31.69, 23.3, 3 2 3
34.82, 16.9, 3 3 2
36.78, 38.0, 3 2 5
46.62, 20.3, 4 1 7
49.33, 17.5, 0 4 8
49.58, 23.2, 4 0 8
51.92, 17.9, 0 5 7



[3]
Calculated XRD peak list of SrZnGe for Cu Kα (weighted mean of Kα1 and Kα2), from a PBE-relaxed structure.
Intensities are scaled so that the largest is 100.

Cell and atoms:
Unit cell a=4.3489 b=4.3489 c=4.6766 alpha=90.00 beta=90.00 gamma=120.00
Space group P-6m2 (No. 187)
Inequivalent atoms, fractional coordinates:
Sr (0.0000, 0.0000, 0.0000) x1
Zn (0.6667, 0.3333, 0.5000) x1
Ge (0.3333, 0.6667, 0.5000) x1

The 12 most intense peaks (2θ from 15° to 90°), in order of rising 2θ:
2θ (°), I_rel, (hkl)
18.98, 7.1, 0 0 1
30.47, 100.0, 1 0 1
38.50, 18.6, 0 0 2
41.53, 45.0, 1 1 0
46.03, 4.1, 1 1 1
52.38, 21.3, 2 0 1
57.91, 32.9, 1 1 2
64.72, 11.1, 1 0 3
68.96, 18.3, 2 1 1
75.77, 7.3, 3 0 0
79.88, 6.1, 2 0 3
88.37, 10.0, 3 0 2



[4]
Calculated XRD peak list of Na3Eu2Ge2S8 for Cu Kα (weighted mean of Kα1 and Kα2), from a PBE-relaxed structure.
Intensities are scaled so that the largest is 100.

Cell and atoms:
Unit cell a=6.886 b=13.873 c=13.876 alpha=117.30 beta=99.28 gamma=99.77
Space group P1 (No. 1)
Inequivalent atoms, fractional coordinates:
Na (0.000, 0.000, 0.000) x1
Na (0.018, 0.669, 0.903) x1
Na (0.383, 0.939, 0.122) x1
Na (0.443, 0.513, 0.826) x1
Na (0.475, 0.046, 0.888) x1
Na (0.518, 0.137, 0.439) x1
Na (0.869, 0.349, 0.711) x1
Na (0.943, 0.060, 0.286) x1
Na (0.975, 0.126, 0.808) x1
Eu (0.050, 0.314, 0.205) x1
Eu (0.205, 0.745, 0.235) x1
Eu (0.334, 0.720, 0.641) x1
Eu (0.547, 0.434, 0.073) x1
Eu (0.704, 0.467, 0.514) x1
Eu (0.835, 0.877, 0.487) x1
Ge (0.010, 0.409, 0.987) x1
Ge (0.194, 0.400, 0.540) x1
Ge (0.383, 0.967, 0.550) x1
Ge (0.512, 0.219, 0.175) x1
Ge (0.695, 0.774, 0.166) x1
Ge (0.883, 0.781, 0.732) x1
S (0.110, 0.535, 0.683) x1
S (0.168, 0.966, 0.410) x1
S (0.192, 0.841, 0.853) x1
S (0.201, 0.349, 0.868) x1
S (0.207, 0.504, 0.167) x1
S (0.215, 0.990, 0.678) x1
S (0.284, 0.209, 0.033) x1
S (0.292, 0.486, 0.445) x1
S (0.310, 0.175, 0.266) x1
S (0.397, 0.678, 0.038) x1
S (0.400, 0.785, 0.464) x1
S (0.452, 0.346, 0.599) x1
S (0.610, 0.916, 0.301) x1
S (0.666, 0.643, 0.734) x1
S (0.696, 0.080, 0.603) x1
S (0.702, 0.099, 0.115) x1
S (0.703, 0.399, 0.271) x1
S (0.726, 0.916, 0.767) x1
S (0.790, 0.679, 0.252) x1
S (0.791, 0.268, 0.984) x1
S (0.816, 0.507, 0.950) x1
S (0.895, 0.271, 0.444) x1
S (0.901, 0.697, 0.552) x1
S (0.954, 0.836, 0.111) x1

The 12 most intense peaks (2θ from 15° to 90°), in order of rising 2θ:
2θ (°), I_rel, (hkl)
22.51, 45.1, 0 3 -3
22.88, 87.8, 1 2 -3
26.05, 74.5, 0 2 2
26.26, 100.0, 2 0 -1
26.40, 43.0, 1 3 -3
31.36, 48.9, 1 -2 4
32.17, 43.8, -2 3 1
32.95, 47.7, 0 5 -2
34.08, 31.6, 1 -5 1
35.64, 38.4, 2 -2 3
36.57, 43.2, 1 0 4
38.85, 49.1, 2 2 1



[5]
Calculated XRD peak list of Mg6MnCd for Cu Kα (weighted mean of Kα1 and Kα2), from a PBE-relaxed structure.
Intensities are scaled so that the largest is 100.

Cell and atoms:
Unit cell a=4.969 b=6.261 c=10.844 alpha=90.00 beta=90.00 gamma=90.00
Space group Amm2 (No. 38)
Inequivalent atoms, fractional coordinates:
Mg (0.000, 0.000, 0.000) x2
Mg (0.000, 0.000, 0.496) x2
Mg (0.000, 0.244, 0.252) x4
Mg (0.500, 0.249, 0.583) x4
Mn (0.500, 0.000, 0.334) x2
Cd (0.500, 0.000, 0.833) x2

The 12 most intense peaks (2θ from 15° to 90°), in order of rising 2θ:
2θ (°), I_rel, (hkl)
16.35, 33.9, 0 0 2
17.85, 19.1, 1 0 0
24.30, 27.1, 1 0 2
33.04, 32.7, 0 2 2
33.84, 11.6, 1 2 0
36.15, 24.2, 2 0 0
37.80, 100.0, 1 0 4
49.78, 19.6, 2 2 2
59.01, 16.2, 0 4 0
66.11, 17.7, 3 0 4
71.20, 17.8, 2 4 0
72.24, 13.4, 1 4 4



[6]
Calculated XRD peak list of K2RbGaF6 for Cu Kα (weighted mean of Kα1 and Kα2), from a PBE-relaxed structure.
Intensities are scaled so that the largest is 100.

Cell and atoms:
Unit cell a=9.088 b=9.088 c=9.088 alpha=90.00 beta=90.00 gamma=90.00
Space group Fm-3m (No. 225)
Inequivalent atoms, fractional coordinates:
K (0.250, 0.250, 0.250) x8
Rb (0.000, 0.000, 0.000) x4
Ga (0.000, 0.000, 0.500) x4
F (0.000, 0.000, 0.288) x24

The 12 most intense peaks (2θ from 15° to 90°), in order of rising 2θ:
2θ (°), I_rel, (hkl)
19.54, 39.3, 2 0 0
27.76, 100.0, 2 2 0
39.67, 48.6, 4 0 0
43.40, 3.7, 3 3 1
44.59, 13.9, 4 2 0
49.11, 33.8, 4 2 2
57.35, 26.6, 4 4 0
61.19, 6.6, 6 0 0
64.89, 20.9, 6 2 0
71.99, 7.6, 4 4 4
75.42, 4.2, 6 4 0
78.81, 21.0, 6 4 2